For ScAl2AuBr, the GGA-PBE geometry in Alexandria gives the computed powder XRD pattern in this record (copper Kα).

Crystal structure
Unit cell a=5.5712 b=5.5712 c=5.0071 alpha=90.00 beta=90.00 gamma=90.00
Fractional coordinates of all 5 atoms:
Sc (0.0000, 0.0000, 0.0000)
Al (0.0000, 0.5000, 0.0000)
Al (0.5000, 0.0000, 0.0000)
Au (0.5000, 0.5000, 0.5000)
Br (0.0000, 0.0000, 0.5000)

Principal peaks in the range 15° ≤ 2θ ≤ 90°, by intensity:
2θ = 28.84°, I = 100
2θ = 22.57°, I = 79
2θ = 32.13°, I = 65
2θ = 23.89°, I = 48
2θ = 48.91°, I = 40
2θ = 55.28°, I = 33
2θ = 42.80°, I = 30
2θ = 17.71°, I = 29


For AlAuC, the GGA-PBE geometry in Alexandria gives the computed powder XRD pattern in this record (copper Kα).

Crystal structure
Unit cell a=2.9056 b=3.4481 c=18.5488 alpha=90.00 beta=90.00 gamma=90.00
Fractional coordinates of all 12 atoms:
Al (0.0000, 0.0000, 0.1096)
Al (0.0000, 0.0000, 0.8904)
Al (0.5000, 0.5000, 0.3904)
Al (0.5000, 0.5000, 0.6096)
Au (0.0000, 0.0000, 0.3080)
Au (0.0000, 0.0000, 0.6920)
Au (0.5000, 0.5000, 0.1920)
Au (0.5000, 0.5000, 0.8080)
C (0.0000, 0.5000, 0.4655)
C (0.0000, 0.5000, 0.5345)
C (0.5000, 0.0000, 0.0345)
C (0.5000, 0.0000, 0.9655)

Principal peaks in the range 15° ≤ 2θ ≤ 90°, by intensity:
2θ = 29.67°, I = 100
2θ = 35.55°, I = 96
2θ = 39.39°, I = 79
2θ = 40.60°, I = 68
2θ = 41.81°, I = 63
2θ = 34.09°, I = 56
2θ = 57.44°, I = 32
2θ = 68.10°, I = 32